Starting from a crystal structure in the Materials Project, relaxed with GGA+U, the powder X-ray diffraction pattern of Mn6Zn3O16 was calculated for Cu Kα.
No peak broadening, texture or thermal motion is included.

Most intense lines, 2θ from 10° to 80°, low angle first:
two_theta	I/Imax
15.09	47
18.52	18
23.98	46
24.04	20
26.26	24
30.48	49
35.84	100
35.95	98
43.64	33
57.64	27
57.76	33
63.42	59

Cell and atoms:
```
Mn6Zn3O16
1.0
8.2931 0.0000 0.0000
0.0000 8.2953 0.0000
-0.0569 0.0000 8.3018
Mn Zn O
12 6 32
Cartesian
1.0097 0.0000 3.1665 Mn
0.9905 4.1658 7.2901 Mn
1.0349 2.1357 1.0193 Mn
3.0588 6.2542 3.1009 Mn
3.0616 0.0318 5.1980 Mn
3.0419 2.1052 7.2629 Mn
5.1747 4.1795 3.1038 Mn
5.1943 6.2528 1.0389 Mn
5.1774 2.1065 5.2009 Mn
7.2013 6.2833 7.2826 Mn
7.2457 0.0182 1.0118 Mn
7.2265 4.1476 5.1354 Mn
1.9722 3.1723 4.1169 Zn
1.9892 7.2789 8.2901 Zn
4.0748 5.2490 6.2442 Zn
4.1614 1.1013 2.0576 Zn
6.2470 3.1312 0.0118 Zn
6.2640 7.3200 4.1850 Zn
0.7878 4.0963 5.3354 O
0.8255 6.0562 7.3429 O
0.9088 3.9618 0.8504 O
0.9180 0.1421 1.1418 O
1.1332 1.9324 2.8954 O
1.1111 2.2238 7.3783 O
1.1840 0.1413 4.9604 O
1.2324 6.4690 2.9904 O
2.8565 4.0351 7.1697 O
2.9504 2.0156 0.8359 O
2.9812 0.1768 7.0683 O
3.0075 8.2329 3.2187 O
3.1554 6.4607 5.0273 O
3.1671 2.0082 5.2892 O
3.2270 4.3880 3.2069 O
3.2988 6.3570 1.1922 O
4.9374 2.2093 7.1097 O
5.0092 0.2404 5.0950 O
5.0691 6.1558 3.0126 O
5.0808 2.3131 3.2745 O
5.2287 4.0852 5.0831 O
5.2550 4.3245 1.2335 O
5.2858 6.1632 7.4660 O
5.3797 8.1827 1.1321 O
7.0038 2.3213 5.3115 O
7.0522 4.2889 3.3414 O
7.1251 6.3715 0.9235 O
7.1030 6.0801 5.4065 O
7.3183 4.2897 7.1600 O
7.3274 8.1095 7.4514 O
7.4108 1.9085 0.9589 O
7.4484 8.2440 2.9664 O
```

Starting from a crystal structure in the Materials Project, relaxed with GGA+U, the powder X-ray diffraction pattern of La2WO6 was calculated for Cu Kα.
No peak broadening, texture or thermal motion is included.

Most intense lines, 2θ from 10° to 80°, low angle first:
two_theta	I/Imax
22.79	12
27.36	100
27.84	100
30.25	12
30.38	19
31.66	25
33.82	19
44.45	19
46.71	11
47.00	25
54.08	12
56.37	14

Cell and atoms:
```
La2WO6
1.0
8.0241 0.0000 0.0000
0.0000 5.6522 0.0000
-2.7905 0.0000 11.6686
La W O
8 4 24
Cartesian
-0.6976 1.0432 2.9171 La
-2.0929 4.6090 8.7514 La
-0.1942 1.7186 10.7763 La
1.2010 3.9336 4.9420 La
3.3144 1.3455 2.9171 La
1.9191 4.3067 8.7514 La
4.0325 1.7186 6.7266 La
5.4278 3.9336 0.8923 La
0.0696 1.4007 7.1610 W
1.4649 4.2514 1.3267 W
3.7686 1.4007 10.3419 W
5.1639 4.2514 4.5076 W
-2.4706 0.7730 10.3693 O
-1.0753 4.8791 4.5350 O
-0.1773 1.9723 5.3627 O
-1.5726 3.6799 11.1970 O
1.0437 2.8076 2.6120 O
-0.3516 2.8446 8.4463 O
0.1161 0.2391 8.9293 O
1.5114 5.4131 3.0950 O
2.6197 0.0507 0.8202 O
1.2244 5.6015 6.6545 O
1.7780 2.5777 7.0387 O
3.1733 3.0744 1.2044 O
2.0603 2.5777 10.4642 O
3.4556 3.0744 4.6299 O
4.0092 0.0507 5.0141 O
2.6139 5.6015 10.8484 O
3.7222 0.2391 8.5736 O
5.1174 5.4131 2.7393 O
5.5851 2.8076 3.2223 O
4.1899 2.8446 9.0566 O
6.8061 1.9723 0.4716 O
5.4109 3.6799 6.3058 O
6.3089 0.7730 7.1336 O
7.7041 4.8791 1.2993 O
```

Starting from a crystal structure in the Materials Project, relaxed with GGA+U, the powder X-ray diffraction pattern of MgCd2Co2O6 was calculated for Cu Kα.
No peak broadening, texture or thermal motion is included.

Most intense lines, 2θ from 10° to 80°, low angle first:
two_theta	I/Imax
17.90	35
30.47	20
30.73	18
31.23	18
33.32	100
33.57	47
35.46	29
35.83	28
36.29	29
38.31	23
49.28	17
49.64	23

Cell and atoms:
```
MgCd2Co2O6
1.0
5.3408 0.0000 0.0000
-2.6700 4.6694 0.0000
-2.5310 -1.5509 4.9546
Mg Cd Co O
1 2 2 6
Cartesian
0.0000 0.0000 0.0000 Mg
-2.5676 1.5572 3.3029 Cd
0.0847 3.1279 1.9691 Cd
0.0861 0.0033 2.6271 Co
2.6528 1.6087 0.3092 Co
-2.0315 3.2122 1.4097 O
-3.5379 3.4810 3.7903 O
1.0982 1.2289 1.4020 O
-0.4232 1.4216 3.8626 O
1.5734 -0.2385 3.8779 O
3.8699 0.2784 1.4529 O
```